# Ac3Si3Rh
Theoretical PXRD pattern, λ = 1.5418 Å (Cu Kα). Input: DFT lattice parameters and positions (GGA-PBE).
Kinematic intensities with the Lorentz-polarization factor, no thermal factor.

Atomic structure:
Unit cell a=11.6038 b=4.4166 c=15.1279 alpha=90.00 beta=106.25 gamma=90.00
Space group C2/m (No. 12)
Asymmetric unit:
Ac  0.0279  0.0000  0.3809 (multiplicity 4)
Ac  0.1233  0.0000  0.9300 (multiplicity 4)
Ac  0.2299  0.0000  0.2332 (multiplicity 4)
Si  0.0120  0.5000  0.2111 (multiplicity 4)
Si  0.0889  0.5000  0.0766 (multiplicity 4)
Si  0.1513  0.5000  0.5513 (multiplicity 4)
Rh  0.2350  0.0000  0.5616 (multiplicity 4)

Principal peaks in the range 10° ≤ 2θ ≤ 80°, in order of falling intensity:
- 29.95 deg, I 100, (1 1 3)
- 31.19 deg, I 71, (1 1 -4)
- 25.26 deg, I 68, (2 0 -4)
- 21.64 deg, I 68, (1 1 0)
- 30.74 deg, I 60, (3 1 -1)
- 30.99 deg, I 45, (4 0 -2)
- 40.86 deg, I 43, (0 2 0)
- 35.70 deg, I 37, (3 1 -4)
- 27.59 deg, I 34, (2 0 3)
- 48.63 deg, I 32, (2 2 -4)